Calculated PXRD pattern of YNb for CuKα, from a DFT-relaxed cell (GGA-PBE, OQMD).
Intensities are scaled so that the largest is 100.

Structural model:
Lattice parameters (Å, degrees): 3.2179 3.2179 5.2895 90.00 90.00 120.00
Space group P-6m2 (No. 187)
Unique sites:
Y1 0.0000 0.0000 0.0000 (multiplicity 1)
Nb1 0.3333 0.6667 0.5000 (multiplicity 1)

The 12 most intense peaks (10 to 90 degrees two-theta), low angle first:
- 2θ = 32.12°, intensity 24, hkl 1 0 0
- 2θ = 33.89°, intensity 27, hkl 0 0 2
- 2θ = 36.44°, intensity 100, hkl 1 0 1
- 2θ = 47.39°, intensity 16, hkl 1 0 2
- 2θ = 57.26°, intensity 17, hkl 1 1 0
- 2θ = 62.32°, intensity 20, hkl 1 0 3
- 2θ = 68.23°, intensity 20, hkl 1 1 2
- 2θ = 69.80°, intensity 14, hkl 2 0 1
- 2θ = 71.32°, intensity 3, hkl 0 0 4
- 2θ = 77.42°, intensity 3, hkl 2 0 2
- 2θ = 80.37°, intensity 3, hkl 1 0 4
- 2θ = 89.69°, intensity 7, hkl 2 0 3